This entry pairs a crystal structure of Na3VB2O6 with its simulated XRD peak list. Radiation: CuKα. Structure: DFT lattice parameters and positions (PBE+U).
No peak broadening, texture or thermal motion is included.

Atomic structure:
Cell: 5.5721 9.1939 11.4993 Å, 90.00 114.75 90.00°
Space group P2_1/c (No. 14)
Inequivalent atoms, fractional coordinates:
Na: 0.0145 0.0619 0.3774 x4
Na: 0.0484 0.1246 0.8770 x4
Na: 0.4598 0.5498 0.6274 x4
V: 0.4655 0.7170 0.8764 x4
B: 0.0341 0.7017 0.3811 x4
B: 0.4646 0.6369 0.1342 x4
O: 0.0786 0.6627 0.8416 x4
O: 0.1803 0.1640 0.0951 x4
O: 0.2423 0.6032 0.3989 x4
O: 0.3385 0.7316 0.1877 x4
O: 0.3915 0.1971 0.4274 x4
O: 0.4233 0.0110 0.6405 x4

Largest 10 diffraction maxima, in order of rising 2θ, 10 to 80 degrees two-theta:
d = 5.060 Å, 17.53 deg, intensity 25, (1 0 0); d = 4.597 Å, 19.31 deg, intensity 23, (0 2 0); d = 4.540 Å, 19.55 deg, intensity 23, (0 1 2); d = 4.231 Å, 21.00 deg, intensity 27, (1 1 -2); d = 2.684 Å, 33.39 deg, intensity 28, (1 3 -1); d = 2.643 Å, 33.92 deg, intensity 27, (0 3 2); d = 2.611 Å, 34.35 deg, intensity 100, (0 0 4); d = 2.530 Å, 35.48 deg, intensity 30, (2 0 0); d = 2.093 Å, 43.23 deg, intensity 21, (1 4 0); d = 2.059 Å, 43.99 deg, intensity 42, (2 3 -2)